Record 1
Starting from DFT lattice parameters and positions (PBE), the PXRD pattern of Y5Sb4Te was calculated for copper Kα.

Most intense lines, 2θ from 15° to 90°, by angle:
2θ/deg	Rel. int.	hkl
24.85	4	0 1 5
28.78	100	0 2 0
41.15	75	2 0 0
48.67	2	1 1 10
50.98	26	2 2 0
59.60	12	0 4 0
65.58	1	0 1 15
67.51	33	3 0 5
74.98	24	2 4 0
89.31	8	4 0 0

Structure:
```
data_Y5Sb4Te
_cell_length_a 4.389
_cell_length_b 6.200
_cell_length_c 21.948
_cell_angle_alpha 90.00
_cell_angle_beta 90.00
_cell_angle_gamma 90.00
_symmetry_space_group_name_H-M 'I m m m'
_symmetry_Int_Tables_number 71
_symmetry_space_group_name_Hall '-I 2 2'
loop_
_atom_site_label
_atom_site_type_symbol
_atom_site_fract_x
_atom_site_fract_y
_atom_site_fract_z
Y1 Y 0.000 0.000 0.000
Y2 Y 0.000 0.000 0.199
Y3 Y 0.000 0.000 0.396
Sb1 Sb 0.000 0.500 0.201
Sb2 Sb 0.000 0.500 0.401
Te1 Te 0.000 0.500 0.000
```

=====

Record 2
Starting from DFT lattice parameters and positions (PBE), the PXRD pattern of Zr3SbTe was calculated for copper Kα.

Most intense lines, 2θ from 15° to 90°, by angle:
2θ/deg	Rel. int.	hkl
23.70	37	0 2 2
25.24	23	1 0 2
30.41	51	1 1 3
31.54	14	0 3 1
32.72	34	1 0 4
38.90	100	1 2 4
41.64	43	0 4 0
45.41	21	2 0 0
48.40	13	0 0 8
63.30	24	2 4 0

Structure:
```
data_Zr3SbTe
_cell_length_a 3.995
_cell_length_b 8.665
_cell_length_c 15.046
_cell_angle_alpha 90.00
_cell_angle_beta 90.00
_cell_angle_gamma 90.00
_symmetry_space_group_name_H-M 'A m m 2'
_symmetry_Int_Tables_number 38
loop_
_symmetry_equiv_pos_as_xyz
'x,y,z'
'-x,-y,z'
'-x,y,z'
'x,-y,z'
'x,y+1/2,z+1/2'
'-x,-y+1/2,z+1/2'
'-x,y+1/2,z+1/2'
'x,-y+1/2,z+1/2'
loop_
_atom_site_label
_atom_site_type_symbol
_atom_site_fract_x
_atom_site_fract_y
_atom_site_fract_z
Zr1 Zr 0.000 0.000 0.000
Zr2 Zr 0.000 0.000 0.259
Zr3 Zr 0.500 0.204 0.523
Zr4 Zr 0.500 0.204 0.735
Sb1 Sb 0.000 0.000 0.629
Sb2 Sb 0.500 0.000 0.129
Te1 Te 0.000 0.249 0.879
```

=====

Record 3
Starting from DFT lattice parameters and positions (PBE), the PXRD pattern of Zr2SbTe was calculated for copper Kα.

Most intense lines, 2θ from 15° to 90°, by angle:
2θ/deg	Rel. int.	hkl
27.69	50	0 2 1
29.00	100	2 1 -1
35.39	46	0 2 2
36.26	40	2 2 1
36.45	91	2 1 -2
39.96	25	0 1 3
44.29	39	2 3 0
46.89	28	4 0 0
60.09	19	4 2 -2
69.78	23	2 4 3

Structure:
```
data_Zr2SbTe
_cell_length_a 7.750
_cell_length_b 7.224
_cell_length_c 7.125
_cell_angle_alpha 90.00
_cell_angle_beta 90.01
_cell_angle_gamma 90.00
_symmetry_space_group_name_H-M 'P 1 21/c 1'
_symmetry_Int_Tables_number 14
loop_
_symmetry_equiv_pos_as_xyz
'x,y,z'
'-x,-y,-z'
'-x,y+1/2,-z+1/2'
'x,-y+1/2,z+1/2'
loop_
_atom_site_label
_atom_site_type_symbol
_atom_site_fract_x
_atom_site_fract_y
_atom_site_fract_z
Zr1 Zr 0.124 0.193 0.004
Zr2 Zr 0.374 0.692 0.494
Sb1 Sb 0.124 0.576 0.205
Te1 Te 0.375 0.076 0.293
```

=====

Record 4
Starting from DFT lattice parameters and positions (PBE), the PXRD pattern of Th5Sb2 was calculated for copper Kα.

Most intense lines, 2θ from 15° to 90°, by angle:
2θ/deg	Rel. int.	hkl
24.52	39	3 1 1
28.84	49	4 0 -2
29.04	44	3 1 -2
30.30	58	0 2 1
30.88	56	5 1 0
31.30	61	4 0 2
31.88	56	5 1 -1
32.55	69	2 2 1
34.24	100	1 1 -3
37.12	44	4 2 -1

Structure:
```
data_Th5Sb2
_cell_length_a 16.378
_cell_length_b 6.275
_cell_length_c 8.685
_cell_angle_alpha 90.00
_cell_angle_beta 94.57
_cell_angle_gamma 90.00
_symmetry_space_group_name_H-M 'C 1 2/c 1'
_symmetry_Int_Tables_number 15
loop_
_symmetry_equiv_pos_as_xyz
'x,y,z'
'-x,-y,-z'
'-x,y,-z+1/2'
'x,-y,z+1/2'
'x+1/2,y+1/2,z'
'-x+1/2,-y+1/2,-z'
'-x+1/2,y+1/2,-z+1/2'
'x+1/2,-y+1/2,z+1/2'
loop_
_atom_site_label
_atom_site_type_symbol
_atom_site_fract_x
_atom_site_fract_y
_atom_site_fract_z
Th1 Th 0.000 0.178 0.250
Th2 Th 0.099 0.344 0.939
Th3 Th 0.227 0.100 0.308
Sb1 Sb 0.100 0.174 0.579
```

=====

Record 5
Starting from DFT lattice parameters and positions (PBE), the PXRD pattern of Th5Sb3 was calculated for copper Kα.

Most intense lines, 2θ from 15° to 90°, by angle:
2θ/deg	Rel. int.	hkl
29.10	37	2 1 0
29.87	24	1 0 2
32.32	96	2 1 1
33.10	71	3 0 0
33.79	100	1 1 2
48.02	30	2 2 2
51.04	21	3 2 1
52.01	26	2 1 3
53.36	23	4 0 2
67.76	18	3 0 4

Structure:
```
data_Th5Sb3
_cell_length_a 9.3759
_cell_length_b 9.3759
_cell_length_c 6.4353
_cell_angle_alpha 90.00
_cell_angle_beta 90.00
_cell_angle_gamma 120.00
_symmetry_space_group_name_H-M 'P 63/m c m'
_symmetry_Int_Tables_number 193
_symmetry_space_group_name_Hall '-P 6c 2'
loop_
_atom_site_label
_atom_site_type_symbol
_atom_site_fract_x
_atom_site_fract_y
_atom_site_fract_z
Th1 Th 0.0000 0.2581 0.2500
Th2 Th 0.3333 0.6667 0.0000
Sb1 Sb 0.0000 0.3854 0.7500
```

=====

Record 6
Starting from DFT lattice parameters and positions (PBE), the PXRD pattern of Th3Sb was calculated for copper Kα.

Most intense lines, 2θ from 15° to 90°, by angle:
2θ/deg	Rel. int.	hkl
18.05	5	1 0 0
25.64	4	1 1 0
31.54	100	1 1 1
36.58	51	2 0 0
52.69	36	2 2 0
62.72	43	3 1 1
65.85	13	2 2 2
77.75	6	4 0 0
86.30	19	3 3 1
89.13	18	4 2 0

Structure:
```
data_Th3Sb
_cell_length_a 4.913
_cell_length_b 4.913
_cell_length_c 4.913
_cell_angle_alpha 90.00
_cell_angle_beta 90.00
_cell_angle_gamma 90.00
_symmetry_space_group_name_H-M 'P m -3 m'
_symmetry_Int_Tables_number 221
_symmetry_space_group_name_Hall '-P 4 2 3'
loop_
_atom_site_label
_atom_site_type_symbol
_atom_site_fract_x
_atom_site_fract_y
_atom_site_fract_z
Th1 Th 0.000 0.000 0.500
Sb1 Sb 0.500 0.500 0.500
```

=====

Record 7
Starting from DFT lattice parameters and positions (PBE), the PXRD pattern of Th2Sb3 was calculated for copper Kα.

Most intense lines, 2θ from 15° to 90°, by angle:
2θ/deg	Rel. int.	hkl
17.41	8	0 0 6
27.33	100	0 1 5
37.54	39	1 0 10
40.50	37	1 1 0
44.43	12	0 0 15
49.55	20	2 0 5
56.40	12	0 2 10
61.70	16	1 1 15
65.84	17	1 2 5
71.71	12	2 1 10

Structure:
```
data_Th2Sb3
_cell_length_a 4.4552
_cell_length_b 4.4552
_cell_length_c 30.5625
_cell_angle_alpha 90.00
_cell_angle_beta 90.00
_cell_angle_gamma 120.00
_symmetry_space_group_name_H-M 'R -3 m'
_symmetry_Int_Tables_number 166
_symmetry_space_group_name_Hall '-R 3 2"'
loop_
_atom_site_label
_atom_site_type_symbol
_atom_site_fract_x
_atom_site_fract_y
_atom_site_fract_z
Th1 Th 0.0000 0.0000 0.1022
Sb1 Sb 0.0000 0.0000 0.2898
Sb2 Sb 0.0000 0.0000 0.5000
```

=====

Record 8
Starting from DFT lattice parameters and positions (PBE), the PXRD pattern of Th2Sb5 was calculated for copper Kα.

Most intense lines, 2θ from 15° to 90°, by angle:
2θ/deg	Rel. int.	hkl
28.67	35	1 1 1
29.20	56	0 14 0
30.47	70	1 5 1
34.35	100	1 9 1
40.88	63	2 0 0
51.01	41	2 14 0
57.63	18	1 23 1
59.19	21	2 0 2
67.34	19	2 14 2
70.26	26	3 9 1

Structure:
```
data_Th2Sb5
_cell_length_a 4.413
_cell_length_b 42.844
_cell_length_c 4.418
_cell_angle_alpha 90.00
_cell_angle_beta 90.00
_cell_angle_gamma 90.00
_symmetry_space_group_name_H-M 'C m c m'
_symmetry_Int_Tables_number 63
_symmetry_space_group_name_Hall '-C 2c 2'
loop_
_atom_site_label
_atom_site_type_symbol
_atom_site_fract_x
_atom_site_fract_y
_atom_site_fract_z
Th1 Th 0.000 0.097 0.250
Th2 Th 0.000 0.310 0.250
Sb1 Sb 0.000 0.034 0.750
Sb2 Sb 0.000 0.173 0.250
Sb3 Sb 0.000 0.250 0.750
Sb4 Sb 0.000 0.387 0.250
Sb5 Sb 0.000 0.461 0.750
```

=====

What did the seventh record say?
Starting from DFT lattice parameters and positions (PBE), the PXRD pattern of Th2Sb3 was calculated for copper Kα.

Most intense lines, 2θ from 15° to 90°, by angle:
2θ/deg	Rel. int.	hkl
17.41	8	0 0 6
27.33	100	0 1 5
37.54	39	1 0 10
40.50	37	1 1 0
44.43	12	0 0 15
49.55	20	2 0 5
56.40	12	0 2 10
61.70	16	1 1 15
65.84	17	1 2 5
71.71	12	2 1 10

Structure:
```
data_Th2Sb3
_cell_length_a 4.4552
_cell_length_b 4.4552
_cell_length_c 30.5625
_cell_angle_alpha 90.00
_cell_angle_beta 90.00
_cell_angle_gamma 120.00
_symmetry_space_group_name_H-M 'R -3 m'
_symmetry_Int_Tables_number 166
_symmetry_space_group_name_Hall '-R 3 2"'
loop_
_atom_site_label
_atom_site_type_symbol
_atom_site_fract_x
_atom_site_fract_y
_atom_site_fract_z
Th1 Th 0.0000 0.0000 0.1022
Sb1 Sb 0.0000 0.0000 0.2898
Sb2 Sb 0.0000 0.0000 0.5000
```